The following is a computed PXRD pattern of HfFe2PbO6. It was derived from a structure optimized by DFT (PBE+U), using λ = 1.5418 Å (Cu Kα).
Lines closer than 0.1° are merged.

Cell and atoms:
```
data_HfFe2PbO6
_chemical_formula_sum 'Hf1 Fe2 Pb1 O6'
_cell_length_a 5.3994
_cell_length_b 5.4137
_cell_length_c 5.6695
_cell_angle_alpha 90.21
_cell_angle_beta 118.33
_cell_angle_gamma 119.87
_space_group_name_H-M_alt 'P 1'
_space_group_IT_number 1
loop_
_space_group_symop_operation_xyz
'x,y,z'
loop_
_atom_site_label
_atom_site_type_symbol
_atom_site_fract_x
_atom_site_fract_y
_atom_site_fract_z
Hf1 Hf 0.0000 0.0000 0.0000
Fe1 Fe 0.4010 0.7001 0.0994
Fe2 Fe 0.4221 0.2106 0.6331
Pb1 Pb 0.9402 0.4694 0.4094
O1 O 0.2621 0.9457 0.8488
O2 O 0.3092 0.8864 0.3148
O3 O 0.4241 0.4185 0.3180
O4 O 0.5311 0.5858 0.8496
O5 O 0.8959 0.0028 0.3179
O6 O 0.9005 0.3130 0.8478
```

Top 10 peaks for 2θ = 10–80°, sorted by position:
(hkl)  two_theta  d/Å  Rel. int.
1 0 0  22.7  3.911  74.7
0 1 1  31.6  2.831  100.0
1 1 -1  33.1  2.708  65.7
-2 1 1  33.2  2.700  32.5
2 -2 0  40.5  2.226  17.3
0 2 -2  46.4  1.958  28.7
-2 2 2  46.5  1.952  14.1
1 1 1  51.2  1.783  16.3
1 2 0  58.2  1.586  25.2
3 0 -2  59.2  1.560  16.8